# 1
For Li4Ge3, a DFT-relaxed cell (GGA-PBE, Alexandria) gives the theoretical powder diffraction line list in this record (λ = 1.5418 Å (Cu Kα)).
Peak positions follow from Bragg's law for the DFT cell and can differ from measured ones.

Atomic structure:
Unit cell a=9.8272 b=9.8272 c=9.8272 alpha=163.67 beta=155.68 gamma=29.43
Positions (direct):
1 Li 0.0713 0.0713 0.0000
2 Li 0.2092 0.2092 0.0000
3 Li 0.7908 0.7908 0.0000
4 Li 0.9287 0.9287 0.0000
5 Ge 0.3556 0.3556 0.0000
6 Ge 0.5000 0.5000 0.0000
7 Ge 0.6444 0.6444 0.0000

Peak list (6 most intense, 2θ from 10° to 90°, sorted by position)
22.0 deg, I = 100; 28.2 deg, I = 31; 32.4 deg, I = 37; 38.9 deg, I = 56; 39.7 deg, I = 53; 46.7 deg, I = 33

***

# 2
For Li3Ge2, a DFT-relaxed cell (GGA-PBE, Alexandria) gives the theoretical powder diffraction line list in this record (λ = 1.5418 Å (Cu Kα)).
Peak positions follow from Bragg's law for the DFT cell and can differ from measured ones.

Atomic structure:
Unit cell a=8.1473 b=8.1473 c=4.3099 alpha=90.00 beta=90.00 gamma=34.31
Positions (direct):
1 Li 0.0338 0.3659 0.2500
2 Li 0.2122 0.7878 0.7500
3 Li 0.3659 0.0338 0.7500
4 Li 0.6341 0.9662 0.2500
5 Li 0.7878 0.2122 0.2500
6 Li 0.9662 0.6341 0.7500
7 Ge 0.2191 0.5507 0.2500
8 Ge 0.4493 0.7809 0.2500
9 Ge 0.5507 0.2191 0.7500
10 Ge 0.7809 0.4493 0.7500

Peak list (6 most intense, 2θ from 10° to 90°, sorted by position)
19.3 deg, I = 46; 22.8 deg, I = 100; 28.4 deg, I = 99; 32.8 deg, I = 42; 40.4 deg, I = 79; 43.1 deg, I = 40